(1)
CePm7Sn4: theoretical PXRD pattern (Cu Kα (λ = 1.5418 Å)), based on a structure optimized by DFT (PBE).
Peak positions follow from Bragg's law for the DFT cell and can differ from measured ones.

The 10 most intense peaks (5 to 70 degrees two-theta), low angle first:
2θ/deg  I (rel.)  hkl
24.98  28  4 0 -1
26.27  29  4 0 -3
32.13  86  0 2 0
32.38  61  2 0 -4
33.36  100  3 1 1
34.57  84  5 1 -3
46.26  45  2 2 -4
51.25  22  8 0 -2
58.87  22  5 3 -3
61.78  30  8 2 -2

Structural model:
Lattice parameters (Å, degrees): 15.0602 5.5713 11.4682 90.00 126.86 90.00
Space group C2/m (No. 12)
Unique sites:
Ce 0.0000 0.0000 0.0000 (multiplicity 2)
Pm 0.0000 0.5000 0.0000 (multiplicity 2)
Pm 0.0782 0.0000 0.3394 (multiplicity 4)
Pm 0.1509 0.5000 0.5807 (multiplicity 4)
Pm 0.2139 0.0000 0.8697 (multiplicity 4)
Sn 0.0741 0.5000 0.7806 (multiplicity 4)
Sn 0.2045 0.5000 0.3329 (multiplicity 4)

(2)
PmSm4Ru: theoretical PXRD pattern (Cu Kα (λ = 1.5418 Å)), based on a structure optimized by DFT (PBE).
Peak positions follow from Bragg's law for the DFT cell and can differ from measured ones.

The 10 most intense peaks (5 to 70 degrees two-theta), low angle first:
2θ/deg  I (rel.)  hkl
25.99  18  2 2 0
28.32  18  0 2 1
29.30  39  2 0 -2
31.13  68  4 0 1
32.38  100  4 2 -1
39.57  38  0 2 2
53.13  16  8 0 -3
53.95  20  0 2 3
58.46  18  4 4 1
59.87  24  6 2 2

Structural model:
Lattice parameters (Å, degrees): 17.3872 7.5584 6.0957 90.00 110.50 90.00
Space group C2/m (No. 12)
Unique sites:
Pm 0.1998 0.0000 0.1998 (multiplicity 4)
Sm 0.0000 0.2079 0.0000 (multiplicity 4)
Sm 0.1134 0.2543 0.6134 (multiplicity 8)
Sm 0.1706 0.5000 0.1708 (multiplicity 4)
Ru 0.9995 0.5000 0.2584 (multiplicity 4)

(3)
PrAlCuGe2: theoretical PXRD pattern (Cu Kα (λ = 1.5418 Å)), based on a structure optimized by DFT (PBE).
Peak positions follow from Bragg's law for the DFT cell and can differ from measured ones.

The 10 most intense peaks (5 to 70 degrees two-theta), low angle first:
2θ/deg  I (rel.)  hkl
23.06  11  1 0 1
30.90  39  1 1 0
31.95  100  1 0 3
34.69  99  1 1 2
44.28  65  2 0 0
45.14  56  1 0 5
55.63  41  2 1 3
57.59  11  1 1 6
64.40  18  2 2 0
65.08  37  2 1 5

Structural model:
Lattice parameters (Å, degrees): 4.0921 4.0921 11.5268 90.00 90.00 90.00
Space group I-4m2 (No. 119)
Unique sites:
Pr 0.0000 0.0000 0.0000 (multiplicity 2)
Al 0.0000 0.5000 0.2500 (multiplicity 2)
Cu 0.0000 0.5000 0.7500 (multiplicity 2)
Ge 0.0000 0.0000 0.3848 (multiplicity 4)

(4)
Cs2PuBrCl6: theoretical PXRD pattern (Cu Kα (λ = 1.5418 Å)), based on a structure optimized by DFT (PBE).
Peak positions follow from Bragg's law for the DFT cell and can differ from measured ones.

The 10 most intense peaks (5 to 70 degrees two-theta), low angle first:
2θ/deg  I (rel.)  hkl
9.42  100  0 0 1
13.75  50  1 0 0
16.69  53  1 0 1
23.45  97  1 0 2
23.93  68  1 1 0
29.32  46  0 2 1
33.76  70  0 2 2
41.80  43  2 1 2
47.97  20  2 0 4
48.99  24  2 2 0

Structural model:
Lattice parameters (Å, degrees): 7.4369 7.4369 9.3859 90.00 90.00 120.00
Space group P-3m1 (No. 164)
Unique sites:
Cs 0.3333 0.6667 0.3035 (multiplicity 2)
Pu 0.0000 0.0000 0.5000 (multiplicity 1)
Br 0.0000 0.0000 0.0000 (multiplicity 1)
Cl 0.1650 0.3300 0.6539 (multiplicity 6)

(5)
Sc4ZnHgO: theoretical PXRD pattern (Cu Kα (λ = 1.5418 Å)), based on a structure optimized by DFT (PBE).
Peak positions follow from Bragg's law for the DFT cell and can differ from measured ones.

The 10 most intense peaks (5 to 70 degrees two-theta), low angle first:
2θ/deg  I (rel.)  hkl
15.65  30  1 1 0
19.12  32  0 2 1
21.25  49  1 1 1
27.93  36  1 3 1
28.82  67  2 0 0
31.58  29  2 2 0
38.14  35  1 5 1
38.82  100  2 4 0
41.21  66  2 0 2
59.70  21  4 0 0

Structural model:
Lattice parameters (Å, degrees): 6.1924 14.0002 6.1993 90.00 90.00 90.00
Space group Cmcm (No. 63)
Unique sites:
Sc 0.0000 0.0736 0.2500 (multiplicity 4)
Sc 0.0000 0.4196 0.2500 (multiplicity 4)
Sc 0.2500 0.2500 0.0000 (multiplicity 8)
Zn 0.0000 0.1224 0.7500 (multiplicity 4)
Hg 0.0000 0.3845 0.7500 (multiplicity 4)
O 0.0000 0.2494 0.2500 (multiplicity 4)

(6)
La2Nd2Dy5: theoretical PXRD pattern (Cu Kα (λ = 1.5418 Å)), based on a structure optimized by DFT (PBE).
Peak positions follow from Bragg's law for the DFT cell and can differ from measured ones.

The 10 most intense peaks (5 to 70 degrees two-theta), low angle first:
2θ/deg  I (rel.)  hkl
27.22  59  1 1 -1
27.72  30  1 1 1
30.47  100  6 0 0
30.57  86  2 0 3
31.56  76  4 0 -3
33.72  74  3 1 -2
36.19  53  3 1 2
38.30  27  5 1 1
53.07  30  1 1 -5
61.64  49  6 2 0

Structural model:
Lattice parameters (Å, degrees): 17.8013 3.5075 9.9179 90.00 98.61 90.00
Space group C2/m (No. 12)
Unique sites:
La 0.1648 0.0000 0.2202 (multiplicity 4)
Nd 0.0050 0.5000 0.6876 (multiplicity 4)
Dy 0.0000 0.0000 0.0000 (multiplicity 2)
Dy 0.1710 0.5000 0.5406 (multiplicity 4)
Dy 0.1726 0.0000 0.8643 (multiplicity 4)

(7)
Sr2Ga2I: theoretical PXRD pattern (Cu Kα (λ = 1.5418 Å)), based on a structure optimized by DFT (PBE).
Peak positions follow from Bragg's law for the DFT cell and can differ from measured ones.

The 10 most intense peaks (5 to 70 degrees two-theta), low angle first:
2θ/deg  I (rel.)  hkl
23.93  23  0 1 2
28.30  100  0 1 5
32.64  56  1 0 7
39.68  18  0 0 12
40.42  65  1 1 0
50.07  20  2 0 5
52.88  14  0 2 7
57.92  35  1 1 12
66.22  17  1 2 5
68.60  13  2 1 7

Structural model:
Lattice parameters (Å, degrees): 4.4640 4.4640 27.2580 90.00 90.00 120.00
Space group R-3m (No. 166, hexagonal axes)
Unique sites:
Sr 0.0000 0.0000 0.0783 (multiplicity 6)
Ga 0.0000 0.0000 0.3266 (multiplicity 6)
I 0.0000 0.0000 0.5000 (multiplicity 3)

Question: Number 3 is which compound?
Answer: PrAlCuGe2